# 1
Simulated X-ray diffraction stick pattern of DyMn2SiGe for Cu Kα, from DFT lattice parameters and positions (PBE).
Intensities are scaled so that the largest is 100.

Crystal structure
```
data_DyMn2SiGe
_chemical_formula_sum 'Dy2 Mn4 Si2 Ge2'
_symmetry_space_group_name_H-M 'I 4 m m'
_symmetry_Int_Tables_number 107
_symmetry_space_group_name_Hall 'I 4 -2'
_cell_length_a 3.9179
_cell_length_b 3.9179
_cell_length_c 10.5639
_cell_angle_alpha 90.00
_cell_angle_beta 90.00
_cell_angle_gamma 90.00
loop_
_atom_site_label
_atom_site_type_symbol
_atom_site_fract_x
_atom_site_fract_y
_atom_site_fract_z
Dy1 Dy 0.0000 0.0000 0.0000
Mn1 Mn 0.0000 0.5000 0.2565
Si1 Si 0.0000 0.0000 0.3801
Ge1 Ge 0.0000 0.0000 0.6192
```

Top 10 peaks for 2θ from 10° to 90°, low angle first:
(1 0 1), 2θ 24.2, I 27.8; (1 1 0), 2θ 32.3, I 19.8; (1 0 3), 2θ 34.2, I 77.4; (1 1 2), 2θ 36.6, I 100.0; (2 0 0), 2θ 46.3, I 44.1; (1 0 5), 2θ 49.0, I 32.7; (2 1 3), 2θ 58.9, I 32.3; (1 1 6), 2θ 62.5, I 15.1; (2 1 5), 2θ 69.7, I 22.6; (3 1 2), 2θ 79.5, I 19.6

# 2
Simulated X-ray diffraction stick pattern of Dy2Nb3Ge4 for Cu Kα, from DFT lattice parameters and positions (PBE).
Intensities are scaled so that the largest is 100.

Crystal structure
```
data_Dy2Nb3Ge4
_chemical_formula_sum 'Dy8 Nb12 Ge16'
_symmetry_space_group_name_H-M 'P n m a'
_symmetry_Int_Tables_number 62
_symmetry_space_group_name_Hall '-P 2ac 2n'
_cell_length_a 7.0248
_cell_length_b 13.6219
_cell_length_c 7.1980
_cell_angle_alpha 90.00
_cell_angle_beta 90.00
_cell_angle_gamma 90.00
loop_
_atom_site_label
_atom_site_type_symbol
_atom_site_fract_x
_atom_site_fract_y
_atom_site_fract_z
Dy1 Dy 0.0025 0.0949 0.1736
Nb1 Nb 0.1599 0.6266 0.3285
Nb2 Nb 0.1641 0.2500 0.5124
Ge1 Ge 0.0398 0.2500 0.8782
Ge2 Ge 0.1734 0.0417 0.5387
Ge3 Ge 0.1957 0.7500 0.6376
```

Top 10 peaks for 2θ from 10° to 90°, low angle first:
(1 3 2), 2θ 34.3, I 100.0; (2 3 1), 2θ 34.6, I 97.2; (0 4 2), 2θ 36.3, I 51.6; (1 4 2), 2θ 38.6, I 20.2; (2 4 1), 2θ 38.9, I 22.4; (0 6 0), 2θ 39.7, I 46.5; (1 1 3), 2θ 40.3, I 30.5; (3 0 1), 2θ 40.5, I 53.6; (2 5 0), 2θ 42.0, I 18.6; (3 4 3), 2θ 61.7, I 23.1